Record 1
# Al2CoTc
Calculated X-ray powder pattern, Cu Kα (λ = 1.5418 Å). Input: a cell relaxed with PBE.

```
Al2CoTc
1.0
4.2157 0.0000 0.0000
0.0000 2.9478 0.0000
0.0000 0.0000 8.3820
Al Co Tc
4 2 2
direct
0.2500 0.0000 0.1221 Al
0.2500 0.0000 0.6500 Al
0.7500 0.0000 0.3500 Al
0.7500 0.0000 0.8779 Al
0.2500 0.5000 0.8863 Co
0.7500 0.5000 0.1137 Co
0.2500 0.5000 0.3873 Tc
0.7500 0.5000 0.6127 Tc
```

Peak list (10 most intense, 10 to 90 degrees two-theta, sorted by position)
two_theta	intensity	hkl
10.6	91	0 0 1
30.1	289	1 0 2
30.3	143	0 1 0
42.9	214	2 0 0
43.2	1000	1 1 2
62.5	119	2 0 4
63.1	65	0 2 0
78.8	130	3 1 2
79.2	100	1 1 6
79.3	66	2 2 0

***

Record 2
# Th4Al16Co3
Calculated X-ray powder pattern, Cu Kα (λ = 1.5418 Å). Input: a cell relaxed with PBE.

```
Th4Al16Co3
1.0
6.1722 0.0000 0.0000
0.0000 6.1722 0.0000
0.0000 0.0000 11.3888
Th Al Co
4 16 3
direct
0.0000 0.5000 0.1936 Th
0.0000 0.5000 0.8064 Th
0.5000 0.0000 0.1936 Th
0.5000 0.0000 0.8064 Th
0.0000 0.0000 0.1987 Al
0.0000 0.0000 0.8013 Al
0.2212 0.2212 0.0000 Al
0.2212 0.7788 0.0000 Al
0.2485 0.2485 0.3871 Al
0.2485 0.2485 0.6129 Al
0.2485 0.7515 0.3871 Al
0.2485 0.7515 0.6129 Al
0.5000 0.5000 0.2210 Al
0.5000 0.5000 0.7790 Al
0.7515 0.2485 0.3871 Al
0.7515 0.2485 0.6129 Al
0.7515 0.7515 0.3871 Al
0.7515 0.7515 0.6129 Al
0.7788 0.2212 0.0000 Al
0.7788 0.7788 0.0000 Al
0.0000 0.5000 0.5000 Co
0.5000 0.0000 0.5000 Co
0.5000 0.5000 0.0000 Co
```

Peak list (10 most intense, 10 to 90 degrees two-theta, sorted by position)
two_theta	intensity	hkl
20.3	1000	1 1 0
25.7	441	1 1 2
28.9	460	2 0 0
31.2	812	1 1 3
33.0	450	2 0 2
37.6	789	2 0 3
41.4	528	2 2 0
46.5	252	3 1 0
52.7	368	3 1 3
58.6	249	2 2 5

***

Record 3
# Th2Al3Co2
Calculated X-ray powder pattern, Cu Kα (λ = 1.5418 Å). Input: a cell relaxed with PBE.

```
Th2Al3Co2
1.0
9.9614 0.0000 0.0000
0.0000 4.1592 0.0000
-3.0968 0.0000 6.3487
Th Al Co
4 6 4
direct
0.1394 0.0000 0.2793 Th
0.3606 0.5000 0.7207 Th
0.6394 0.5000 0.2793 Th
0.8606 0.0000 0.7207 Th
0.0000 0.5000 0.5000 Al
0.1430 0.5000 0.9363 Al
0.3570 0.0000 0.0637 Al
0.5000 0.0000 0.5000 Al
0.6430 0.0000 0.9363 Al
0.8570 0.5000 0.0637 Al
0.1340 0.0000 0.7094 Co
0.3660 0.5000 0.2906 Co
0.6340 0.5000 0.7094 Co
0.8660 0.0000 0.2906 Co
```

Peak list (10 most intense, 10 to 90 degrees two-theta, sorted by position)
two_theta	intensity	hkl
18.6	633	2 0 -1
23.6	1000	1 1 0
28.1	732	0 0 2
29.7	695	1 1 1
33.4	853	1 1 -2
37.1	740	3 1 0
37.7	485	4 0 -2
37.8	592	3 1 -2
40.3	728	4 0 0
43.5	457	0 2 0